Theoretical X-ray diffraction stick pattern
Compound: RbPa2MnO8
Radiation: CuKα
Structure: a crystal structure in Alexandria, relaxed with PBE+U

Structural model:
Lattice parameters (Å, degrees): 5.2340 5.3948 6.9247 84.08 70.18 76.40
Space group P-1 (No. 2)
Asymmetric unit:
Rb 0.0000 0.0000 0.0000 x1
Pa 0.3542 0.4320 0.3073 x2
Mn 0.0000 0.0000 0.5000 x1
O 0.0567 0.2854 0.6139 x2
O 0.2822 0.0815 0.2603 x2
O 0.3087 0.7312 0.5593 x2
O 0.3108 0.5018 0.9748 x2

Peak list (12 most intense, 5° ≤ 2θ ≤ 70°, sorted by position)
- hkl 0 0 1, 2θ 13.6, d 6.512, rel. 22
- hkl 0 1 0, 2θ 16.9, d 5.242, rel. 41
- hkl 1 0 1, 2θ 19.0, d 4.662, rel. 24
- hkl 0 1 -1, 2θ 22.0, d 4.033, rel. 31
- hkl 1 1 1, 2θ 22.5, d 3.955, rel. 42
- hkl 1 0 -1, 2θ 26.4, d 3.379, rel. 37
- hkl 1 0 2, 2θ 27.7, d 3.223, rel. 100
- hkl 1 1 -1, 2θ 29.4, d 3.036, rel. 24
- hkl 0 1 2, 2θ 32.0, d 2.798, rel. 29
- hkl 2 0 1, 2θ 35.3, d 2.542, rel. 40
- hkl 1 2 -1, 2θ 40.5, d 2.226, rel. 36
- hkl 2 -1 2, 2θ 46.1, d 1.970, rel. 25